1.
RbHfSb2: simulated PXRD pattern (Cu Kα (λ = 1.5418 Å)), based on DFT lattice parameters and positions (GGA-PBE).
No peak broadening, texture or thermal motion is included.

Structural model:
```
RbHfSb2
1.0
4.012 0.000 0.000
-2.006 3.474 0.000
0.000 0.000 27.866
Rb Hf Sb
3 3 6
Direct
0.000 0.000 0.000
0.333 0.667 0.667
0.667 0.333 0.333
0.000 0.000 0.168
0.333 0.667 0.835
0.667 0.333 0.501
0.000 0.000 0.566
0.000 0.000 0.769
0.333 0.667 0.233
0.333 0.667 0.436
0.667 0.333 0.103
0.667 0.333 0.899
```

The 10 most intense peaks (5° ≤ 2θ ≤ 70°), in order of rising 2θ:
- d = 9.289 Å, I 619
- d = 3.371 Å, I 294
- d = 2.948 Å, I 1000
- d = 2.617 Å, I 263
- d = 2.460 Å, I 150
- d = 2.174 Å, I 288
- d = 2.006 Å, I 383
- d = 1.824 Å, I 120
- d = 1.658 Å, I 181
- d = 1.518 Å, I 116


2.
PmAlZn4Cu2: simulated PXRD pattern (Cu Kα (λ = 1.5418 Å)), based on DFT lattice parameters and positions (GGA-PBE).
No peak broadening, texture or thermal motion is included.

Structural model:
```
PmAlZn4Cu2
1.0
2.104 1.215 8.919
-2.104 1.215 8.919
0.000 -2.429 8.919
Pm Al Zn Cu
1 1 4 2
Direct
0.000 0.000 0.000
0.500 0.500 0.500
0.123 0.123 0.123
0.402 0.402 0.402
0.598 0.598 0.598
0.877 0.877 0.877
0.235 0.235 0.235
0.765 0.765 0.765
```

The 10 most intense peaks (5° ≤ 2θ ≤ 70°), in order of rising 2θ:
- d = 3.610 Å, I 172
- d = 3.012 Å, I 371
- d = 2.973 Å, I 130
- d = 2.637 Å, I 175
- d = 2.464 Å, I 907
- d = 2.157 Å, I 193
- d = 2.104 Å, I 1000
- d = 1.717 Å, I 152
- d = 1.600 Å, I 231
- d = 1.445 Å, I 156


3.
YMg3Ge: simulated PXRD pattern (Cu Kα (λ = 1.5418 Å)), based on DFT lattice parameters and positions (GGA-PBE).
No peak broadening, texture or thermal motion is included.

Structural model:
```
YMg3Ge
1.0
5.102 0.000 0.000
0.000 5.102 0.000
0.000 0.000 5.102
Y Mg Ge
1 3 1
Direct
0.000 0.000 0.000
0.000 0.500 0.500
0.500 0.000 0.500
0.500 0.500 0.000
0.500 0.500 0.500
```

The 10 most intense peaks (5° ≤ 2θ ≤ 70°), in order of rising 2θ:
- d = 5.102 Å, I 6
- d = 3.607 Å, I 1000
- d = 2.946 Å, I 173
- d = 2.551 Å, I 592
- d = 2.083 Å, I 431
- d = 1.804 Å, I 409
- d = 1.613 Å, I 189
- d = 1.538 Å, I 67
- d = 1.473 Å, I 137
- d = 1.364 Å, I 213


4.
CaPb4Se5: simulated PXRD pattern (Cu Kα (λ = 1.5418 Å)), based on DFT lattice parameters and positions (GGA-PBE).
No peak broadening, texture or thermal motion is included.

Structural model:
```
CaPb4Se5
1.0
-2.180 2.180 15.416
2.180 -2.180 15.416
2.180 2.180 -15.416
Ca Pb Se
1 4 5
Direct
0.000 0.000 0.000
0.200 0.200 0.000
0.401 0.401 0.000
0.599 0.599 0.000
0.800 0.800 0.000
0.097 0.097 0.000
0.300 0.300 0.000
0.500 0.500 0.000
0.700 0.700 0.000
0.903 0.903 0.000
```

The 10 most intense peaks (5° ≤ 2θ ≤ 70°), in order of rising 2θ:
- d = 15.416 Å, I 145
- d = 4.318 Å, I 48
- d = 3.560 Å, I 249
- d = 3.083 Å, I 1000
- d = 2.180 Å, I 766
- d = 1.859 Å, I 135
- d = 1.780 Å, I 283
- d = 1.542 Å, I 128
- d = 1.415 Å, I 58
- d = 1.379 Å, I 357


5.
Ba6SiHg5: simulated PXRD pattern (Cu Kα (λ = 1.5418 Å)), based on DFT lattice parameters and positions (GGA-PBE).
No peak broadening, texture or thermal motion is included.

Structural model:
```
Ba6SiHg5
1.0
2.938 -8.855 0.000
2.938 8.855 0.000
0.000 0.000 8.381
Ba Si Hg
6 1 5
Direct
0.000 0.000 0.238
0.000 0.000 0.762
0.338 0.662 0.245
0.338 0.662 0.755
0.662 0.338 0.245
0.662 0.338 0.755
0.500 0.500 0.000
0.169 0.831 0.000
0.170 0.830 0.500
0.500 0.500 0.500
0.830 0.170 0.500
0.831 0.169 0.000
```

The 10 most intense peaks (5° ≤ 2θ ≤ 70°), in order of rising 2θ:
- d = 4.643 Å, I 24
- d = 2.953 Å, I 1000
- d = 2.938 Å, I 199
- d = 2.095 Å, I 75
- d = 2.082 Å, I 149
- d = 1.707 Å, I 158
- d = 1.705 Å, I 156
- d = 1.699 Å, I 159
- d = 1.477 Å, I 122
- d = 1.469 Å, I 27


6.
LiTiH6O2F6: simulated PXRD pattern (Cu Kα (λ = 1.5418 Å)), based on DFT lattice parameters and positions (GGA-PBE).
No peak broadening, texture or thermal motion is included.

Structural model:
```
LiTiH6O2F6
1.0
5.637 0.000 0.000
-2.819 4.882 0.000
0.000 0.000 6.006
Li Ti H O F
1 1 6 2 6
Direct
0.000 0.000 0.000
0.333 0.667 0.681
0.011 0.182 0.405
0.171 0.989 0.405
0.501 0.151 0.959
0.650 0.499 0.959
0.818 0.829 0.405
0.849 0.350 0.959
0.000 0.000 0.344
0.667 0.333 0.008
0.030 0.420 0.487
0.106 0.353 0.902
0.246 0.894 0.902
0.390 0.970 0.487
0.580 0.610 0.487
0.647 0.754 0.902
```

The 10 most intense peaks (5° ≤ 2θ ≤ 70°), in order of rising 2θ:
- d = 6.006 Å, I 415
- d = 4.882 Å, I 545
- d = 3.788 Å, I 1000
- d = 2.819 Å, I 382
- d = 2.557 Å, I 261
- d = 2.261 Å, I 453
- d = 2.055 Å, I 317
- d = 1.894 Å, I 265
- d = 1.632 Å, I 258
- d = 1.572 Å, I 213


7.
BaCaHf4O12: simulated PXRD pattern (Cu Kα (λ = 1.5418 Å)), based on DFT lattice parameters and positions (GGA-PBE).
No peak broadening, texture or thermal motion is included.

Structural model:
```
BaCaHf4O12
1.0
8.205 0.000 0.000
0.000 4.125 4.125
0.000 -4.125 4.125
Ba Ca Hf O
1 1 4 12
Direct
0.000 0.000 0.000
0.500 0.460 0.460
0.255 0.491 0.976
0.255 0.976 0.491
0.745 0.491 0.976
0.745 0.976 0.491
0.000 0.503 0.971
0.000 0.971 0.503
0.240 0.251 0.251
0.251 0.213 0.756
0.251 0.756 0.213
0.298 0.696 0.696
0.500 0.051 0.466
0.500 0.466 0.051
0.702 0.696 0.696
0.749 0.213 0.756
0.749 0.756 0.213
0.760 0.251 0.251
```

The 10 most intense peaks (5° ≤ 2θ ≤ 70°), in order of rising 2θ:
- d = 4.755 Å, I 114
- d = 4.125 Å, I 438
- d = 4.103 Å, I 215
- d = 2.912 Å, I 1000
- d = 2.063 Å, I 204
- d = 2.051 Å, I 103
- d = 1.844 Å, I 194
- d = 1.683 Å, I 278
- d = 1.678 Å, I 139
- d = 1.454 Å, I 121


8.
PuTh3Tl12: simulated PXRD pattern (Cu Kα (λ = 1.5418 Å)), based on DFT lattice parameters and positions (GGA-PBE).
No peak broadening, texture or thermal motion is included.

Structural model:
```
PuTh3Tl12
1.0
4.787 0.000 0.000
0.000 4.787 0.000
0.000 0.000 19.525
Pu Th Tl
1 3 12
Direct
0.000 0.000 0.000
0.000 0.000 0.251
0.000 0.000 0.500
0.000 0.000 0.749
0.000 0.500 0.123
0.000 0.500 0.374
0.000 0.500 0.626
0.000 0.500 0.877
0.500 0.000 0.123
0.500 0.000 0.374
0.500 0.000 0.626
0.500 0.000 0.877
0.500 0.500 0.000
0.500 0.500 0.247
0.500 0.500 0.500
0.500 0.500 0.753
```

The 8 most intense peaks (5° ≤ 2θ ≤ 70°), in order of rising 2θ:
- d = 2.782 Å, I 1000
- d = 2.441 Å, I 174
- d = 2.394 Å, I 332
- d = 1.709 Å, I 242
- d = 1.693 Å, I 118
- d = 1.466 Å, I 146
- d = 1.446 Å, I 282
- d = 1.391 Å, I 124


9.
KSr2: simulated PXRD pattern (Cu Kα (λ = 1.5418 Å)), based on DFT lattice parameters and positions (GGA-PBE).
No peak broadening, texture or thermal motion is included.

Structural model:
```
KSr2
1.0
4.301 0.000 0.000
0.000 6.295 0.000
0.000 0.000 13.171
K Sr
2 4
Direct
0.000 0.000 0.000
0.500 0.500 0.500
0.000 0.000 0.330
0.000 0.000 0.670
0.500 0.500 0.170
0.500 0.500 0.830
```

The 10 most intense peaks (5° ≤ 2θ ≤ 70°), in order of rising 2θ:
- d = 3.601 Å, I 1000
- d = 3.551 Å, I 968
- d = 3.147 Å, I 353
- d = 3.072 Å, I 661
- d = 2.198 Å, I 628
- d = 1.893 Å, I 157
- d = 1.886 Å, I 156
- d = 1.867 Å, I 297
- d = 1.846 Å, I 290
- d = 1.801 Å, I 138


10.
Ba2NpMo2N6: simulated PXRD pattern (Cu Kα (λ = 1.5418 Å)), based on DFT lattice parameters and positions (GGA-PBE).
No peak broadening, texture or thermal motion is included.

Structural model:
```
Ba2NpMo2N6
1.0
3.096 1.787 6.041
-3.096 1.787 6.041
0.000 -3.575 6.041
Ba Np Mo N
2 1 2 6
Direct
0.218 0.218 0.218
0.782 0.782 0.782
0.000 0.000 0.000
0.428 0.428 0.428
0.572 0.572 0.572
0.239 0.239 0.751
0.239 0.751 0.239
0.249 0.761 0.761
0.751 0.239 0.239
0.761 0.249 0.761
0.761 0.761 0.249
```

The 10 most intense peaks (5° ≤ 2θ ≤ 70°), in order of rising 2θ:
- d = 3.461 Å, I 347
- d = 3.096 Å, I 1000
- d = 3.003 Å, I 709
- d = 2.307 Å, I 202
- d = 2.155 Å, I 260
- d = 1.787 Å, I 206
- d = 1.769 Å, I 309
- d = 1.688 Å, I 292
- d = 1.548 Å, I 164
- d = 1.376 Å, I 136


11.
La2Nd2AlGe4: simulated PXRD pattern (Cu Kα (λ = 1.5418 Å)), based on DFT lattice parameters and positions (GGA-PBE).
No peak broadening, texture or thermal motion is included.

Structural model:
```
La2Nd2AlGe4
1.0
-3.587 3.587 4.501
3.587 -3.587 4.501
3.587 3.587 -4.501
La Nd Al Ge
2 2 1 4
Direct
0.250 0.750 0.500
0.750 0.250 0.500
0.186 0.186 0.000
0.814 0.814 0.000
0.500 0.500 0.000
0.253 0.253 0.507
0.253 0.747 0.000
0.747 0.253 0.000
0.747 0.747 0.493
```

The 10 most intense peaks (5° ≤ 2θ ≤ 70°), in order of rising 2θ:
- d = 3.587 Å, I 140
- d = 2.805 Å, I 1000
- d = 2.768 Å, I 159
- d = 2.536 Å, I 536
- d = 2.251 Å, I 84
- d = 2.191 Å, I 150
- d = 1.793 Å, I 189
- d = 1.683 Å, I 134
- d = 1.511 Å, I 301
- d = 1.439 Å, I 76


12.
K2AgSBr: simulated PXRD pattern (Cu Kα (λ = 1.5418 Å)), based on DFT lattice parameters and positions (GGA-PBE).
No peak broadening, texture or thermal motion is included.

Structural model:
```
K2AgSBr
1.0
6.139 0.000 0.000
0.000 6.139 0.000
0.000 0.000 4.672
K Ag S Br
2 1 1 1
Direct
0.000 0.500 0.000
0.500 0.000 0.000
0.000 0.000 0.500
0.000 0.000 0.000
0.500 0.500 0.500
```

The 10 most intense peaks (5° ≤ 2θ ≤ 70°), in order of rising 2θ:
- d = 6.139 Å, I 177
- d = 4.341 Å, I 391
- d = 3.180 Å, I 1000
- d = 3.069 Å, I 744
- d = 2.336 Å, I 167
- d = 2.170 Å, I 265
- d = 1.859 Å, I 319
- d = 1.793 Å, I 355
- d = 1.590 Å, I 186
- d = 1.373 Å, I 111


13.
CrFe5Ni3: simulated PXRD pattern (Cu Kα (λ = 1.5418 Å)), based on DFT lattice parameters and positions (GGA-PBE).
No peak broadening, texture or thermal motion is included.

Structural model:
```
CrFe5Ni3
1.0
-3.163 3.163 5.510
3.163 -3.163 5.510
3.163 3.163 -5.510
Cr Fe Ni
2 10 6
Direct
0.250 0.750 0.500
0.750 0.250 0.500
0.000 0.000 0.000
0.068 0.568 0.923
0.145 0.068 0.500
0.355 0.855 0.923
0.432 0.355 0.500
0.500 0.500 0.000
0.568 0.645 0.500
0.645 0.145 0.077
0.855 0.932 0.500
0.932 0.432 0.077
0.118 0.382 0.500
0.250 0.250 0.000
0.382 0.882 0.264
0.618 0.118 0.736
0.750 0.750 0.000
0.882 0.618 0.500
```

The 10 most intense peaks (5° ≤ 2θ ≤ 70°), in order of rising 2θ:
- d = 2.239 Å, I 1000
- d = 2.077 Å, I 826
- d = 2.000 Å, I 146
- d = 1.880 Å, I 78
- d = 1.739 Å, I 79
- d = 1.733 Å, I 152
- d = 1.588 Å, I 77
- d = 1.520 Å, I 165
- d = 1.416 Å, I 78
- d = 1.378 Å, I 70


14.
PrAlPt: simulated PXRD pattern (Cu Kα (λ = 1.5418 Å)), based on DFT lattice parameters and positions (GGA-PBE).
No peak broadening, texture or thermal motion is included.

Structural model:
```
PrAlPt
1.0
7.233 0.000 0.000
0.000 4.524 0.000
0.000 0.000 7.872
Pr Al Pt
4 4 4
Direct
0.030 0.250 0.182
0.470 0.750 0.682
0.530 0.250 0.318
0.970 0.750 0.818
0.146 0.250 0.568
0.354 0.750 0.068
0.646 0.250 0.932
0.854 0.750 0.432
0.214 0.750 0.389
0.286 0.250 0.889
0.714 0.750 0.111
0.786 0.250 0.611
```

The 10 most intense peaks (5° ≤ 2θ ≤ 70°), in order of rising 2θ:
- d = 3.451 Å, I 914
- d = 2.747 Å, I 452
- d = 2.659 Å, I 1000
- d = 2.305 Å, I 146
- d = 2.270 Å, I 277
- d = 2.262 Å, I 332
- d = 2.166 Å, I 141
- d = 2.055 Å, I 240
- d = 1.893 Å, I 133
- d = 1.521 Å, I 134